No. 1
LuSiO3: simulated powder diffractogram (Cu Kα X-rays), based on a cell relaxed with PBE.
Kinematic intensities with the Lorentz-polarization factor, no thermal factor.

abc: 3.6804 3.6804 3.6804
angles: 90.00 90.00 90.00
Fractional positions:
Lu 0.0000 0.0000 0.0000
Si 0.5000 0.5000 0.5000
O 0.0000 0.5000 0.5000
O 0.5000 0.0000 0.5000
O 0.5000 0.5000 0.0000

Top 10 peaks for 10° ≤ 2θ ≤ 90°, by angle:
- 3.680 Å, intensity 56
- 2.602 Å, intensity 100
- 2.125 Å, intensity 40
- 1.840 Å, intensity 32
- 1.646 Å, intensity 26
- 1.503 Å, intensity 39
- 1.301 Å, intensity 19
- 1.227 Å, intensity 13
- 1.164 Å, intensity 18
- 1.110 Å, intensity 14

---

No. 2
YMg: simulated powder diffractogram (Cu Kα X-rays), based on a cell relaxed with PBE.
Kinematic intensities with the Lorentz-polarization factor, no thermal factor.

abc: 3.8025 3.8025 3.8025
angles: 90.00 90.00 90.00
Fractional positions:
Y 0.0000 0.0000 0.0000
Mg 0.5000 0.5000 0.5000

Top 10 peaks for 10° ≤ 2θ ≤ 90°, by angle:
- 3.802 Å, intensity 39
- 2.689 Å, intensity 100
- 2.195 Å, intensity 11
- 1.901 Å, intensity 18
- 1.701 Å, intensity 15
- 1.552 Å, intensity 36
- 1.344 Å, intensity 11
- 1.267 Å, intensity 7
- 1.202 Å, intensity 15
- 1.146 Å, intensity 4

---

No. 3
Lu5Si3: simulated powder diffractogram (Cu Kα X-rays), based on a cell relaxed with PBE.
Kinematic intensities with the Lorentz-polarization factor, no thermal factor.

abc: 8.2355 8.2355 6.1685
angles: 90.00 90.00 120.00
Fractional positions:
Lu 0.0000 0.2419 0.2500
Lu 0.0000 0.7581 0.7500
Lu 0.2419 0.0000 0.2500
Lu 0.2419 0.2419 0.7500
Lu 0.3333 0.6667 0.0000
Lu 0.3333 0.6667 0.5000
Lu 0.6667 0.3333 0.0000
Lu 0.6667 0.3333 0.5000
Lu 0.7581 0.0000 0.7500
Lu 0.7581 0.7581 0.2500
Si 0.0000 0.3951 0.7500
Si 0.0000 0.6049 0.2500
Si 0.3951 0.0000 0.7500
Si 0.3951 0.3951 0.2500
Si 0.6049 0.0000 0.2500
Si 0.6049 0.6049 0.7500

Top 10 peaks for 10° ≤ 2θ ≤ 90°, by angle:
- 3.566 Å, intensity 19
- 3.425 Å, intensity 27
- 2.831 Å, intensity 29
- 2.696 Å, intensity 28
- 2.469 Å, intensity 100
- 2.377 Å, intensity 20
- 1.712 Å, intensity 16
- 1.635 Å, intensity 19
- 1.556 Å, intensity 12
- 1.543 Å, intensity 23

---

No. 4
AcBr3: simulated powder diffractogram (Cu Kα X-rays), based on a cell relaxed with PBE.
Kinematic intensities with the Lorentz-polarization factor, no thermal factor.

abc: 8.2516 8.2516 4.7190
angles: 90.00 90.00 120.00
Fractional positions:
Ac 0.3333 0.6667 0.2500
Ac 0.6667 0.3333 0.7500
Br 0.0866 0.3887 0.7500
Br 0.3021 0.9134 0.7500
Br 0.3887 0.3021 0.2500
Br 0.6113 0.6979 0.7500
Br 0.6979 0.0866 0.2500
Br 0.9134 0.6113 0.2500

Top 10 peaks for 10° ≤ 2θ ≤ 90°, by angle:
- 7.146 Å, intensity 84
- 3.938 Å, intensity 38
- 3.106 Å, intensity 42
- 2.849 Å, intensity 100
- 2.701 Å, intensity 23
- 2.382 Å, intensity 37
- 2.359 Å, intensity 25
- 2.344 Å, intensity 74
- 1.676 Å, intensity 26
- 1.549 Å, intensity 36

---

No. 5
Tb2Mn12P7: simulated powder diffractogram (Cu Kα X-rays), based on a cell relaxed with PBE.
Kinematic intensities with the Lorentz-polarization factor, no thermal factor.

abc: 9.3147 9.3147 3.6048
angles: 90.00 90.00 120.00
Fractional positions:
Tb 0.0000 0.0000 0.0000
Tb 0.3333 0.6667 0.5000
Mn 0.0436 0.7592 0.5000
Mn 0.1019 0.3791 0.0000
Mn 0.2408 0.2845 0.5000
Mn 0.2772 0.8981 0.0000
Mn 0.4393 0.2299 0.0000
Mn 0.5117 0.0573 0.5000
Mn 0.5456 0.4883 0.5000
Mn 0.6209 0.7228 0.0000
Mn 0.7155 0.9564 0.5000
Mn 0.7701 0.2094 0.0000
Mn 0.7906 0.5607 0.0000
Mn 0.9427 0.4544 0.5000
P 0.0746 0.6164 0.0000
P 0.2576 0.0430 0.5000
P 0.3836 0.4581 0.0000
P 0.5419 0.9254 0.0000
P 0.6667 0.3333 0.5000
P 0.7855 0.7424 0.5000
P 0.9570 0.2145 0.5000

Top 10 peaks for 10° ≤ 2θ ≤ 90°, by angle:
- 3.291 Å, intensity 12
- 2.688 Å, intensity 17
- 2.328 Å, intensity 100
- 1.901 Å, intensity 11
- 1.802 Å, intensity 14
- 1.760 Å, intensity 16
- 1.646 Å, intensity 10
- 1.404 Å, intensity 11
- 1.259 Å, intensity 12
- 1.118 Å, intensity 9

---

No. 6
SrGe2Ir2: simulated powder diffractogram (Cu Kα X-rays), based on a cell relaxed with PBE.
Kinematic intensities with the Lorentz-polarization factor, no thermal factor.

abc: 6.1902 6.1902 6.1902
angles: 140.00 140.00 57.86
Fractional positions:
Sr 0.0000 0.0000 0.0000
Ge 0.3702 0.3702 0.0000
Ge 0.6298 0.6298 0.0000
Ir 0.2500 0.7500 0.5000
Ir 0.7500 0.2500 0.5000

Top 10 peaks for 10° ≤ 2θ ≤ 90°, by angle:
- 5.418 Å, intensity 63
- 2.748 Å, intensity 23
- 2.621 Å, intensity 100
- 2.117 Å, intensity 50
- 2.009 Å, intensity 43
- 1.972 Å, intensity 19
- 1.546 Å, intensity 24
- 1.497 Å, intensity 16
- 1.300 Å, intensity 23
- 1.200 Å, intensity 16